1.
Structure and computed powder X-ray diffraction pattern of RbMgCr2Cl8 (the PBE geometry in Alexandria; Cu Kα (weighted mean of Kα1 and Kα2)).
Kinematic intensities with the Lorentz-polarization factor, no thermal factor.

Cell and atoms:
```
RbMgCr2Cl8
1.0
3.267 1.886 9.006
-3.267 1.886 9.006
0.000 -3.773 9.006
Rb Mg Cr Cl
1 1 2 8
direct
0.000 0.000 0.000
0.500 0.500 0.500
0.234 0.234 0.234
0.766 0.766 0.766
0.136 0.433 0.768
0.232 0.864 0.567
0.316 0.316 0.316
0.433 0.768 0.136
0.567 0.232 0.864
0.684 0.684 0.684
0.768 0.136 0.433
0.864 0.567 0.232
```

Largest 8 diffraction maxima, in order of rising 2θ, 2θ from 5° to 70°:
2theta  d (Å)  I/Imax
20.5  4.338  992
27.3  3.267  414
29.1  3.072  1000
29.8  3.002  518
33.9  2.645  570
48.2  1.886  543
49.1  1.854  362
57.7  1.597  365

---

2.
Structure and computed powder X-ray diffraction pattern of CeAl7Ga12 (the PBE geometry in Alexandria; Cu Kα (weighted mean of Kα1 and Kα2)).
Kinematic intensities with the Lorentz-polarization factor, no thermal factor.

Cell and atoms:
```
CeAl7Ga12
1.0
-4.795 4.795 4.795
4.795 -4.795 4.795
4.795 4.795 -4.795
Ce Al Ga
1 7 12
direct
0.000 0.000 0.000
0.000 0.000 0.500
0.000 0.500 0.000
0.000 0.500 0.500
0.500 0.000 0.000
0.500 0.000 0.500
0.500 0.500 0.000
0.500 0.500 0.500
0.115 0.353 0.762
0.238 0.590 0.353
0.238 0.885 0.647
0.353 0.238 0.590
0.353 0.762 0.115
0.410 0.647 0.762
0.590 0.353 0.238
0.647 0.238 0.885
0.647 0.762 0.410
0.762 0.115 0.353
0.762 0.410 0.647
0.885 0.647 0.238
```

Largest 8 diffraction maxima, in order of rising 2θ, 2θ from 5° to 70°:
2theta  d (Å)  I/Imax
22.7  3.915  1000
29.5  3.033  791
35.0  2.563  570
37.5  2.398  410
42.1  2.144  780
46.4  1.958  691
48.4  1.881  299
55.9  1.645  321

---

3.
Structure and computed powder X-ray diffraction pattern of Tb11Tl9Co4 (the PBE geometry in Alexandria; Cu Kα (weighted mean of Kα1 and Kα2)).
Kinematic intensities with the Lorentz-polarization factor, no thermal factor.

Cell and atoms:
```
Tb11Tl9Co4
1.0
7.285 -10.902 0.000
7.285 10.902 0.000
0.000 0.000 3.683
Tb Tl Co
11 9 4
direct
0.000 0.000 0.000
0.087 0.419 0.000
0.163 0.837 0.000
0.314 0.314 0.000
0.375 0.625 0.000
0.419 0.087 0.000
0.581 0.913 0.000
0.625 0.375 0.000
0.686 0.686 0.000
0.837 0.163 0.000
0.913 0.581 0.000
0.076 0.220 0.500
0.155 0.630 0.500
0.220 0.076 0.500
0.370 0.845 0.500
0.500 0.500 0.500
0.630 0.155 0.500
0.780 0.924 0.500
0.845 0.370 0.500
0.924 0.780 0.500
0.249 0.450 0.500
0.450 0.249 0.500
0.550 0.751 0.500
0.751 0.550 0.500
```

Largest 8 diffraction maxima, in order of rising 2θ, 2θ from 5° to 70°:
2theta  d (Å)  I/Imax
30.7  2.908  193
32.4  2.763  141
34.7  2.588  1000
34.9  2.573  449
38.0  2.370  138
49.5  1.842  171
62.0  1.497  193
64.0  1.455  116

---

4.
Structure and computed powder X-ray diffraction pattern of Cs4K3P2 (the PBE geometry in Alexandria; Cu Kα (weighted mean of Kα1 and Kα2)).
Kinematic intensities with the Lorentz-polarization factor, no thermal factor.

Cell and atoms:
```
Cs4K3P2
1.0
5.286 0.000 0.000
0.019 10.087 0.000
2.641 3.811 9.460
Cs K P
4 3 2
direct
0.080 0.282 0.338
0.275 0.858 0.952
0.725 0.142 0.048
0.920 0.718 0.662
0.402 0.258 0.694
0.500 0.000 0.500
0.598 0.742 0.306
0.105 0.939 0.291
0.895 0.061 0.709
```

Largest 8 diffraction maxima, in order of rising 2θ, 2θ from 5° to 70°:
2theta  d (Å)  I/Imax
9.5  9.356  603
15.6  5.676  381
21.7  4.093  1000
24.5  3.631  664
26.0  3.430  627
27.6  3.233  427
29.0  3.077  336
33.9  2.643  318

---

5.
Structure and computed powder X-ray diffraction pattern of PrNdDyHo2 (the PBE geometry in Alexandria; Cu Kα (weighted mean of Kα1 and Kα2)).
Kinematic intensities with the Lorentz-polarization factor, no thermal factor.

Cell and atoms:
```
PrNdDyHo2
1.0
3.227 -8.344 0.000
3.227 8.344 0.000
0.000 0.000 6.444
Pr Nd Dy Ho
2 2 2 4
direct
0.157 0.843 0.750
0.843 0.157 0.250
0.343 0.657 0.750
0.657 0.343 0.250
0.269 0.731 0.250
0.731 0.269 0.750
0.253 0.253 0.000
0.253 0.253 0.500
0.747 0.747 0.000
0.747 0.747 0.500
```

Largest 8 diffraction maxima, in order of rising 2θ, 2θ from 5° to 70°:
2theta  d (Å)  I/Imax
25.3  3.527  174
29.7  3.008  1000
33.3  2.693  359
35.2  2.553  150
39.5  2.280  393
52.6  1.740  196
62.7  1.482  141
65.7  1.421  209

---

6.
Structure and computed powder X-ray diffraction pattern of Tl5Hg2Pb2 (the PBE geometry in Alexandria; Cu Kα (weighted mean of Kα1 and Kα2)).
Kinematic intensities with the Lorentz-polarization factor, no thermal factor.

Cell and atoms:
```
Tl5Hg2Pb2
1.0
3.556 0.000 0.000
-1.778 3.079 0.000
0.000 0.000 24.825
Tl Hg Pb
5 2 2
direct
0.000 0.000 0.000
0.333 0.667 0.213
0.333 0.667 0.558
0.667 0.333 0.442
0.667 0.333 0.787
0.333 0.667 0.895
0.667 0.333 0.105
0.000 0.000 0.329
0.000 0.000 0.671
```

Largest 8 diffraction maxima, in order of rising 2θ, 2θ from 5° to 70°:
2theta  d (Å)  I/Imax
31.0  2.886  1000
32.5  2.758  277
36.4  2.470  635
51.4  1.778  253
53.3  1.717  187
61.2  1.514  149
62.1  1.494  260
64.6  1.443  123

---

7.
Structure and computed powder X-ray diffraction pattern of KGe2Os (the PBE geometry in Alexandria; Cu Kα (weighted mean of Kα1 and Kα2)).
Kinematic intensities with the Lorentz-polarization factor, no thermal factor.

Cell and atoms:
```
KGe2Os
1.0
-3.119 3.119 6.852
3.119 -3.119 6.852
3.119 3.119 -6.852
K Ge Os
2 4 2
direct
0.375 0.625 0.750
0.625 0.375 0.250
0.000 0.000 0.000
0.000 0.000 0.500
0.000 0.500 0.000
0.500 0.000 0.500
0.125 0.875 0.250
0.875 0.125 0.750
```

Largest 8 diffraction maxima, in order of rising 2θ, 2θ from 5° to 70°:
2theta  d (Å)  I/Imax
15.6  5.677  1000
24.0  3.708  612
28.6  3.119  196
31.5  2.838  136
37.8  2.381  233
39.1  2.306  170
48.0  1.895  189
49.1  1.854  242

---

8.
Structure and computed powder X-ray diffraction pattern of Sr6PN2 (the PBE geometry in Alexandria; Cu Kα (weighted mean of Kα1 and Kα2)).
Kinematic intensities with the Lorentz-polarization factor, no thermal factor.

Cell and atoms:
```
Sr6PN2
1.0
3.456 1.995 7.241
-3.456 1.995 7.241
0.000 -3.990 7.241
Sr P N
6 1 2
direct
0.080 0.695 0.430
0.305 0.570 0.920
0.430 0.080 0.695
0.570 0.920 0.305
0.695 0.430 0.080
0.920 0.305 0.570
0.500 0.500 0.500
0.325 0.325 0.325
0.675 0.675 0.675
```

Largest 8 diffraction maxima, in order of rising 2θ, 2θ from 5° to 70°:
2theta  d (Å)  I/Imax
12.2  7.241  144
15.4  5.771  159
24.6  3.621  203
25.8  3.456  132
28.6  3.119  1000
35.9  2.500  384
45.5  1.995  197
45.9  1.979  174

---

9.
Structure and computed powder X-ray diffraction pattern of SrH11Pd5 (the PBE geometry in Alexandria; Cu Kα (weighted mean of Kα1 and Kα2)).
Kinematic intensities with the Lorentz-polarization factor, no thermal factor.

Cell and atoms:
```
SrH11Pd5
1.0
5.495 0.000 0.000
2.677 5.176 0.000
2.689 -0.198 5.643
Sr H Pd
1 11 5
direct
0.000 0.000 0.000
0.058 0.874 0.584
0.188 0.388 0.309
0.300 0.187 0.606
0.365 0.535 0.731
0.465 0.668 0.296
0.489 0.005 0.011
0.644 0.885 0.383
0.652 0.394 0.896
0.785 0.680 0.675
0.906 0.176 0.405
0.951 0.431 0.079
0.223 0.524 0.534
0.286 0.031 0.378
0.309 0.389 0.996
0.662 0.658 0.987
0.684 0.017 0.591
```

Largest 8 diffraction maxima, in order of rising 2θ, 2θ from 5° to 70°:
2theta  d (Å)  I/Imax
19.8  4.484  374
31.6  2.831  390
31.7  2.822  706
32.6  2.747  547
34.7  2.586  401
38.4  2.341  1000
39.4  2.290  504
40.3  2.237  380

---

10.
Structure and computed powder X-ray diffraction pattern of Na2ScCuF7 (the PBE geometry in Alexandria; Cu Kα (weighted mean of Kα1 and Kα2)).
Kinematic intensities with the Lorentz-polarization factor, no thermal factor.

Cell and atoms:
```
Na2ScCuF7
1.0
10.647 0.000 0.000
0.000 7.325 0.000
0.000 0.000 7.777
Na Sc Cu F
8 4 4 28
direct
0.000 0.000 0.000
0.000 0.500 0.000
0.239 0.250 0.288
0.261 0.750 0.788
0.500 0.000 0.500
0.500 0.500 0.500
0.739 0.250 0.212
0.761 0.750 0.712
0.231 0.250 0.782
0.269 0.750 0.282
0.731 0.250 0.718
0.769 0.750 0.218
0.000 0.000 0.500
0.000 0.500 0.500
0.500 0.000 0.000
0.500 0.500 0.000
0.034 0.250 0.435
0.120 0.030 0.740
0.120 0.470 0.740
0.143 0.250 0.021
0.146 0.554 0.362
0.146 0.946 0.362
0.172 0.750 0.057
0.328 0.250 0.557
0.354 0.054 0.862
0.354 0.446 0.862
0.357 0.750 0.521
0.380 0.530 0.240
0.380 0.970 0.240
0.466 0.750 0.935
0.534 0.250 0.065
0.620 0.030 0.760
0.620 0.470 0.760
0.643 0.250 0.479
0.646 0.554 0.138
0.646 0.946 0.138
0.672 0.750 0.443
0.828 0.250 0.943
0.854 0.054 0.638
0.854 0.446 0.638
0.857 0.750 0.979
0.880 0.530 0.260
0.880 0.970 0.260
0.966 0.750 0.565
```

Largest 8 diffraction maxima, in order of rising 2θ, 2θ from 5° to 70°:
2theta  d (Å)  I/Imax
14.1  6.280  751
27.6  3.229  238
28.2  3.164  337
28.4  3.140  1000
29.6  3.017  884
48.3  1.884  738
49.8  1.831  262
56.3  1.634  261

---

11.
Structure and computed powder X-ray diffraction pattern of CsNaPO3 (the PBE geometry in Alexandria; Cu Kα (weighted mean of Kα1 and Kα2)).
Kinematic intensities with the Lorentz-polarization factor, no thermal factor.

Cell and atoms:
```
CsNaPO3
1.0
6.233 0.000 0.000
-3.117 5.398 0.000
0.000 0.000 7.119
Cs Na P O
2 2 2 6
direct
0.333 0.667 0.250
0.667 0.333 0.750
0.000 0.000 0.000
0.000 0.000 0.500
0.333 0.667 0.750
0.667 0.333 0.250
0.190 0.380 0.750
0.190 0.810 0.750
0.380 0.190 0.250
0.620 0.810 0.750
0.810 0.190 0.250
0.810 0.620 0.250
```

Largest 8 diffraction maxima, in order of rising 2θ, 2θ from 5° to 70°:
2theta  d (Å)  I/Imax
16.4  5.398  416
20.6  4.302  588
25.0  3.560  581
28.6  3.117  1000
30.1  2.972  659
35.6  2.524  591
38.4  2.345  455
42.0  2.151  375

---

12.
Structure and computed powder X-ray diffraction pattern of Tm4ScBi5 (the PBE geometry in Alexandria; Cu Kα (weighted mean of Kα1 and Kα2)).
Kinematic intensities with the Lorentz-polarization factor, no thermal factor.

Cell and atoms:
```
Tm4ScBi5
1.0
-4.921 4.921 3.116
4.921 -4.921 3.116
4.921 4.921 -3.116
Tm Sc Bi
4 1 5
direct
0.097 0.301 0.398
0.301 0.903 0.204
0.699 0.097 0.796
0.903 0.699 0.602
0.500 0.500 0.000
0.000 0.000 0.000
0.206 0.599 0.805
0.401 0.206 0.607
0.599 0.794 0.393
0.794 0.401 0.195
```

Largest 8 diffraction maxima, in order of rising 2θ, 2θ from 5° to 70°:
2theta  d (Å)  I/Imax
16.8  5.266  17
24.8  3.595  71
28.7  3.114  1000
41.0  2.202  776
48.5  1.878  37
50.8  1.798  278
59.4  1.557  131
67.2  1.392  363